[1]
Diffraction record for AlCdInTe2Se2. The powder X-ray diffraction pattern is calculated, not measured: it uses a crystal structure in OQMD, relaxed with GGA-PBE and Cu Kα X-rays.

Structural model:
Cell: 6.032 6.072 7.276 Å, 113.78 113.89 90.06°
Atoms (fractional coordinates):
1 Al 0.000 0.000 0.000
2 Cd 0.501 0.465 0.001
3 In 0.766 0.228 0.500
4 Te 0.339 0.853 0.271
5 Te 0.603 0.641 0.729
6 Se 0.126 0.067 0.746
7 Se 0.917 0.359 0.255

Top 10 peaks for 2θ = 10–80°, low angle first:
- 5.394 Å, 16.44 deg, I 20
- 3.509 Å, 25.38 deg, I 55
- 3.480 Å, 25.60 deg, I 100
- 3.445 Å, 25.86 deg, I 45
- 3.304 Å, 26.99 deg, I 22
- 2.640 Å, 33.95 deg, I 22
- 2.146 Å, 42.10 deg, I 25
- 2.139 Å, 42.24 deg, I 42
- 2.133 Å, 42.37 deg, I 23
- 2.110 Å, 42.85 deg, I 42

[2]
Diffraction record for LaAlCd. The powder X-ray diffraction pattern is calculated, not measured: it uses a crystal structure in OQMD, relaxed with GGA-PBE and Cu Kα X-rays.

Structural model:
Cell: 6.191 6.191 6.191 Å, 134.17 94.10 103.40°
Atoms (fractional coordinates):
1 La 0.000 0.000 0.000
2 La 0.492 0.492 0.000
3 Al 0.620 0.281 0.340
4 Al 0.941 0.281 0.660
5 Cd 0.042 0.718 0.325
6 Cd 0.393 0.718 0.675

Top 10 peaks for 2θ = 10–80°, low angle first:
- 4.186 Å, 21.23 deg, I 17
- 4.082 Å, 21.77 deg, I 24
- 2.838 Å, 31.52 deg, I 57
- 2.828 Å, 31.63 deg, I 100
- 2.429 Å, 37.01 deg, I 63
- 2.411 Å, 37.30 deg, I 31
- 1.837 Å, 49.62 deg, I 32
- 1.506 Å, 61.60 deg, I 22
- 1.471 Å, 63.22 deg, I 17
- 1.460 Å, 63.75 deg, I 13

[3]
Diffraction record for La2AlCd3Ni2. The powder X-ray diffraction pattern is calculated, not measured: it uses a crystal structure in OQMD, relaxed with GGA-PBE and Cu Kα X-rays.

Structural model:
Cell: 5.376 5.376 7.956 Å, 90.55 90.55 47.10°
Atoms (fractional coordinates):
1 La 0.000 0.000 0.000
2 La 0.118 0.118 0.510
3 Al 0.402 0.402 0.703
4 Cd 0.411 0.411 0.311
5 Cd 0.705 0.705 0.811
6 Cd 0.712 0.712 0.209
7 Ni 0.292 0.292 0.993
8 Ni 0.852 0.852 0.531

Top 10 peaks for 2θ = 10–80°, low angle first:
- 3.524 Å, 25.27 deg, I 17
- 2.805 Å, 31.91 deg, I 55
- 2.793 Å, 32.05 deg, I 100
- 2.610 Å, 34.37 deg, I 50
- 2.486 Å, 36.13 deg, I 62
- 2.473 Å, 36.32 deg, I 23
- 2.346 Å, 38.37 deg, I 53
- 2.194 Å, 41.15 deg, I 21
- 2.148 Å, 42.07 deg, I 51
- 1.584 Å, 58.24 deg, I 30

[4]
Diffraction record for La2Al3CdPt2. The powder X-ray diffraction pattern is calculated, not measured: it uses a crystal structure in OQMD, relaxed with GGA-PBE and Cu Kα X-rays.

Structural model:
Cell: 5.812 5.812 7.392 Å, 90.19 90.19 43.96°
Atoms (fractional coordinates):
1 La 0.000 0.000 0.000
2 La 0.129 0.129 0.486
3 Al 0.403 0.403 0.695
4 Al 0.410 0.410 0.314
5 Al 0.727 0.727 0.194
6 Cd 0.699 0.699 0.801
7 Pt 0.290 0.290 0.017
8 Pt 0.855 0.855 0.493

Top 10 peaks for 2θ = 10–80°, low angle first:
- 5.389 Å, 16.45 deg, I 20
- 4.034 Å, 22.03 deg, I 20
- 3.696 Å, 24.08 deg, I 43
- 3.540 Å, 25.16 deg, I 36
- 2.726 Å, 32.86 deg, I 59
- 2.593 Å, 34.59 deg, I 100
- 2.533 Å, 35.44 deg, I 45
- 2.175 Å, 41.52 deg, I 39
- 2.103 Å, 43.01 deg, I 23
- 1.650 Å, 55.70 deg, I 24

[5]
Diffraction record for LiNb2Al2CdOs2. The powder X-ray diffraction pattern is calculated, not measured: it uses a crystal structure in OQMD, relaxed with GGA-PBE and Cu Kα X-rays.

Structural model:
Cell: 4.409 4.409 6.419 Å, 90.00 90.00 90.00°
Atoms (fractional coordinates):
1 Li 0.000 0.000 0.000
2 Nb 0.000 0.500 0.765
3 Nb 0.500 0.000 0.235
4 Al 0.000 0.500 0.236
5 Al 0.500 0.000 0.764
6 Cd 0.500 0.500 0.500
7 Os 0.000 0.000 0.500
8 Os 0.500 0.500 0.000

Top 10 peaks for 2θ = 10–80°, low angle first:
- 3.634 Å, 24.49 deg, I 56
- 3.118 Å, 28.63 deg, I 14
- 2.236 Å, 40.33 deg, I 100
- 2.205 Å, 40.94 deg, I 49
- 1.925 Å, 47.22 deg, I 10
- 1.885 Å, 48.28 deg, I 19
- 1.605 Å, 57.42 deg, I 9
- 1.559 Å, 59.28 deg, I 16
- 1.297 Å, 72.91 deg, I 17
- 1.279 Å, 74.15 deg, I 33

[6]
Diffraction record for Li4Al2CdPt. The powder X-ray diffraction pattern is calculated, not measured: it uses a crystal structure in OQMD, relaxed with GGA-PBE and Cu Kα X-rays.

Structural model:
Cell: 4.371 4.371 6.277 Å, 90.00 90.00 90.00°
Atoms (fractional coordinates):
1 Li 0.000 0.000 0.000
2 Li 0.000 0.500 0.739
3 Li 0.500 0.000 0.261
4 Li 0.500 0.500 0.500
5 Al 0.000 0.500 0.285
6 Al 0.500 0.000 0.715
7 Cd 0.500 0.500 0.000
8 Pt 0.000 0.000 0.500

Top 10 peaks for 2θ = 10–80°, low angle first:
- 3.587 Å, 24.82 deg, I 100
- 3.138 Å, 28.44 deg, I 13
- 3.090 Å, 28.89 deg, I 24
- 2.202 Å, 40.99 deg, I 42
- 2.185 Å, 41.31 deg, I 21
- 1.887 Å, 48.22 deg, I 17
- 1.866 Å, 48.80 deg, I 32
- 1.793 Å, 50.92 deg, I 11
- 1.428 Å, 65.33 deg, I 13
- 1.265 Å, 75.10 deg, I 14

Question: What is the formula in the fourth record?
Answer: La2Al3CdPt2